No. 1
# NaTbAu3S4
Calculated PXRD pattern, Cu Kα X-rays. Input: a structure optimized by DFT (GGA-PBE).
Peak positions follow from Bragg's law for the DFT cell and can differ from measured ones.

The 12 most intense peaks (5 to 70 degrees two-theta), in order of rising 2θ:
| Position (°2θ) | I (rel.) | index |
| --- | --- | --- |
| 14.46 | 92 | 1 0 0 |
| 25.17 | 70 | 1 1 1 |
| 29.15 | 65 | 2 0 0 |
| 32.68 | 50 | 2 1 0 |
| 41.69 | 100 | 2 2 0 |
| 44.35 | 28 | 2 2 1 |
| 49.33 | 35 | 3 1 1 |
| 51.68 | 19 | 2 2 2 |
| 60.43 | 17 | 4 0 0 |
| 62.50 | 16 | 4 1 0 |
| 66.52 | 14 | 3 3 1 |
| 68.48 | 25 | 4 2 0 |

Crystal structure
a b c (Å): 6.127 6.127 6.127
angles (deg): 90.00 90.00 90.00
Space group P-43m (No. 215)
Inequivalent atoms, fractional coordinates:
Na 0.000 0.000 0.000 [1 per cell]
Tb 0.500 0.500 0.500 [1 per cell]
Au 0.000 0.500 0.500 [3 per cell]
S 0.256 0.256 0.256 [4 per cell]


No. 2
# YHoC2Cl2
Calculated PXRD pattern, Cu Kα X-rays. Input: a structure optimized by DFT (GGA-PBE).
Peak positions follow from Bragg's law for the DFT cell and can differ from measured ones.

The 12 most intense peaks (5 to 70 degrees two-theta), in order of rising 2θ:
| Position (°2θ) | I (rel.) | index |
| --- | --- | --- |
| 8.32 | 100 | 0 0 1 |
| 16.67 | 9 | 0 0 2 |
| 27.25 | 14 | 1 1 0 |
| 28.16 | 11 | 1 1 -1 |
| 29.58 | 20 | 2 0 -2 |
| 31.44 | 10 | 1 1 -2 |
| 32.36 | 6 | 2 0 2 |
| 32.79 | 27 | 1 1 2 |
| 38.27 | 15 | 1 1 3 |
| 42.84 | 10 | 1 1 -4 |
| 46.57 | 10 | 3 1 0 |
| 48.12 | 7 | 3 1 1 |

Crystal structure
a b c (Å): 6.901 3.722 10.682
angles (deg): 90.00 95.50 90.00
Space group Cm (No. 8)
Inequivalent atoms, fractional coordinates:
Y 0.000 0.000 0.000 [2 per cell]
Ho 0.291 0.000 0.278 [2 per cell]
C 0.073 0.500 0.177 [2 per cell]
C 0.219 0.500 0.104 [2 per cell]
Cl 0.324 0.000 0.839 [2 per cell]
Cl 0.465 0.500 0.437 [2 per cell]